Structure and computed PXRD pattern of Pa2Ga2Pd3 (DFT lattice parameters and positions (GGA-PBE); Cu Kα (λ = 1.5418 Å)).

Peak list (12 most intense, 10° ≤ 2θ ≤ 80°, most intense first)
- hkl 3 1 -1, 2θ = 34.21°, I = 100
- hkl 1 1 2, 2θ = 39.97°, I = 52
- hkl 3 1 -2, 2θ = 38.40°, I = 44
- hkl 3 1 0, 2θ = 35.75°, I = 42
- hkl 0 2 0, 2θ = 44.68°, I = 36
- hkl 1 1 1, 2θ = 29.52°, I = 36
- hkl 4 0 0, 2θ = 37.49°, I = 30
- hkl 2 0 -3, 2θ = 39.42°, I = 26
- hkl 7 1 -2, 2θ = 67.17°, I = 17
- hkl 4 2 0, 2θ = 59.71°, I = 15
- hkl 2 2 -3, 2θ = 61.08°, I = 15
- hkl 4 0 -2, 2θ = 37.28°, I = 14

Structural model:
```
Pa2Ga2Pd3
1.0
10.4005 0.0000 0.0000
0.0000 4.0561 0.0000
-2.6501 0.0000 6.3383
Pa Ga Pd
4 4 6
Cartesian
0.7310 0.0000 1.6922
1.8191 2.0280 4.6461
5.9313 2.0280 1.6922
7.0193 0.0000 4.6461
-0.3466 0.0000 4.5276
2.8967 2.0280 1.8106
4.8537 2.0280 4.5276
8.0969 0.0000 1.8106
-1.3251 2.0280 3.1691
-1.2856 2.0280 5.9595
3.8357 0.0000 0.3788
3.8752 0.0000 3.1691
3.9146 0.0000 5.9595
9.0360 2.0280 0.3788
```

---

Structure and computed PXRD pattern of DyTmPt6 (DFT lattice parameters and positions (GGA-PBE); Cu Kα (λ = 1.5418 Å)).

Peak list (4 most intense, 10° ≤ 2θ ≤ 80°, most intense first)
- hkl 1 1 2, 2θ = 37.97°, I = 100
- hkl 2 0 0, 2θ = 44.13°, I = 49
- hkl 3 1 2, 2θ = 77.06°, I = 39
- hkl 2 2 0, 2θ = 64.18°, I = 33

Structural model:
```
DyTmPt6
1.0
4.1049 0.0000 0.0000
0.0000 4.1049 0.0000
0.0000 0.0000 8.2082
Dy Tm Pt
1 1 6
Cartesian
0.0000 0.0000 0.0000
0.0000 0.0000 4.1041
0.0000 2.0524 2.0699
0.0000 2.0524 6.1383
2.0524 0.0000 2.0699
2.0524 0.0000 6.1383
2.0524 2.0524 0.0000
2.0524 2.0524 4.1041
```